Theoretical powder X-ray diffraction pattern
Compound: Mo3NO9
Radiation: Cu Kα (λ = 1.5418 Å)
Structure: a DFT-relaxed cell (PBE+U, Alexandria)
Intensities are scaled so that the largest is 100.

Atomic structure:
Unit cell a=11.0078 b=11.0078 c=3.7859 alpha=90.00 beta=90.00 gamma=120.00
Space group P-6 (No. 174)
Symmetry-distinct sites (fractional):
Mo 0.0204 0.7969 0.0000 x3
Mo 0.1339 0.4418 0.5000 x3
N 0.6667 0.3333 0.3532 x2
O 0.0871 0.8326 0.5000 x3
O 0.1648 0.0486 0.0000 x3
O 0.1679 0.6155 0.5000 x3
O 0.1708 0.4119 0.0000 x3
O 0.3816 0.3158 0.0000 x3
O 0.3908 0.0444 0.5000 x3

Peak list (10 most intense, 10 to 90 degrees two-theta, by angle)
hkl, 2theta, intensity
2 0 0, 18.6, 36.2
2 1 0, 24.7, 100.0
1 0 1, 25.3, 55.5
1 1 1, 28.6, 55.4
1 2 1, 34.4, 41.3
4 1 0, 43.5, 29.8
0 0 2, 48.1, 18.9
2 1 2, 54.8, 20.1
3 3 1, 55.7, 18.0
2 4 1, 56.6, 16.3